1.
Starting from a GGA-PBE-relaxed structure, the XRD peak list of Ta2Hg2F11 was computed for Cu Ka.
Intensities are scaled so that the largest is 100.

Cell and atoms:
Cell lengths 12.5255, 12.5255, 15.0096 Å; angles 124.44, 124.44, 36.10 degrees
Positions (direct):
Ta: 0.0771 0.6226 0.4796
Ta: 0.0853 0.7023 0.8698
Ta: 0.2977 0.9147 0.6302
Ta: 0.3774 0.9229 0.0204
Ta: 0.6226 0.0771 0.9796
Ta: 0.7023 0.0853 0.3698
Ta: 0.9147 0.2977 0.1302
Ta: 0.9229 0.3774 0.5204
Hg: 0.0612 0.5275 0.1245
Hg: 0.1911 0.6755 0.2139
Hg: 0.3245 0.8089 0.2861
Hg: 0.4725 0.9388 0.3755
Hg: 0.5275 0.0612 0.6245
Hg: 0.6755 0.1911 0.7139
Hg: 0.8089 0.3245 0.7861
Hg: 0.9388 0.4725 0.8755
F: 0.0123 0.8956 0.8531
F: 0.0341 0.2162 0.3954
F: 0.0737 0.1293 0.5433
F: 0.1044 0.9877 0.6469
F: 0.1060 0.5543 0.9001
F: 0.1091 0.2594 0.2556
F: 0.1293 0.0737 0.0433
F: 0.1452 0.3200 0.6110
F: 0.1525 0.5178 0.3488
F: 0.2032 0.4024 0.4987
F: 0.2162 0.0341 0.8954
F: 0.2380 0.7000 0.0135
F: 0.2594 0.1091 0.7556
F: 0.2757 0.5069 0.7928
F: 0.2801 0.5942 0.5691
F: 0.3000 0.7620 0.4865
F: 0.3200 0.1452 0.1110
F: 0.4024 0.2032 0.9987
F: 0.4058 0.7199 0.9309
F: 0.4457 0.8940 0.5999
F: 0.4822 0.8475 0.1512
F: 0.4931 0.7243 0.7072
F: 0.5069 0.2757 0.2928
F: 0.5178 0.1525 0.8488
F: 0.5543 0.1060 0.4001
F: 0.5942 0.2801 0.0691
F: 0.5976 0.7968 0.0013
F: 0.6800 0.8548 0.8890
F: 0.7000 0.2380 0.5135
F: 0.7199 0.4058 0.4309
F: 0.7243 0.4931 0.2072
F: 0.7406 0.8909 0.2444
F: 0.7620 0.3000 0.9865
F: 0.7838 0.9659 0.1046
F: 0.7968 0.5976 0.5013
F: 0.8475 0.4822 0.6512
F: 0.8548 0.6800 0.3890
F: 0.8707 0.9263 0.9567
F: 0.8909 0.7406 0.7444
F: 0.8940 0.4457 0.0999
F: 0.8956 0.0123 0.3531
F: 0.9263 0.8707 0.4567
F: 0.9659 0.7838 0.6046
F: 0.9877 0.1044 0.1469

Peak list (6 most intense, 5° ≤ 2θ ≤ 70°, most intense first)
d (Å), I_rel
3.899, 100
3.881, 50
4.202, 36
3.797, 30
1.985, 22
6.893, 20

=====

2.
Starting from a GGA-PBE-relaxed structure, the XRD peak list of K2NdTlSe4 was computed for Cu Ka.
Intensities are scaled so that the largest is 100.

Cell and atoms:
Cell lengths 8.8852, 8.8852, 8.7435 Å; angles 119.25, 119.25, 91.54 degrees
Positions (direct):
K: 0.0000 0.0000 0.0000
K: 0.0000 0.0000 0.5000
K: 0.0000 0.5000 0.0000
K: 0.5000 0.0000 0.5000
Nd: 0.0000 0.5000 0.5000
Nd: 0.5000 0.0000 0.0000
Tl: 0.5000 0.5000 0.0000
Tl: 0.5000 0.5000 0.5000
Se: 0.2554 0.7427 0.9760
Se: 0.2573 0.7446 0.5240
Se: 0.2718 0.2934 0.5286
Se: 0.2934 0.2718 0.0286
Se: 0.7066 0.7282 0.9714
Se: 0.7282 0.7066 0.4714
Se: 0.7427 0.2554 0.4760
Se: 0.7446 0.2573 0.0240

Peak list (6 most intense, 5° ≤ 2θ ≤ 70°, most intense first)
d (Å), I_rel
7.246, 100
3.183, 72
3.120, 66
3.099, 64
2.228, 50
2.220, 49

=====

3.
Starting from a GGA-PBE-relaxed structure, the XRD peak list of Tb3Nd3Ho4 was computed for Cu Ka.
Intensities are scaled so that the largest is 100.

Cell and atoms:
Cell lengths 3.6884, 9.4804, 9.4804 Å; angles 89.77, 90.00, 90.00 degrees
Positions (direct):
Tb: 0.0000 0.0000 0.0000
Tb: 0.5000 0.3214 0.8272
Tb: 0.5000 0.8272 0.3214
Nd: 0.0000 0.1507 0.4994
Nd: 0.0000 0.4994 0.1507
Nd: 0.0000 0.6520 0.6520
Ho: 0.5000 0.1999 0.1999
Ho: 0.5000 0.4502 0.4502
Ho: 0.5000 0.7038 0.9517
Ho: 0.5000 0.9517 0.7038

Peak list (6 most intense, 5° ≤ 2θ ≤ 70°, most intense first)
d (Å), I_rel
2.783, 100
2.998, 64
2.911, 31
1.660, 19
1.571, 19
1.844, 12